For Ac2BeZn2Pt4, a PBE-relaxed structure gives the calculated PXRD pattern in this record (Cu Kα (weighted mean of Kα1 and Kα2)).

abc: 6.6116 6.6116 8.4917
angles: 90.00 90.00 90.00
Space group I4/mmm (No. 139)
Inequivalent atoms, fractional coordinates:
Ac 0.0000 0.5000 0.2500
Be 0.0000 0.0000 0.0000
Zn 0.0000 0.0000 0.3457
Pt 0.2457 0.2457 0.0000

The 10 most intense peaks (2θ = 15–90°), by angle:
Position (°2θ)	intensity
18.98	110
28.40	161
34.38	1000
38.51	424
42.59	108
55.60	147
58.75	170
67.03	294
72.47	92
72.67	87